Calculated powder diffraction line list of Sc4SbSe2 for Cu Kα (weighted mean of Kα1 and Kα2), from a cell relaxed with GGA-PBE.
Intensities are scaled so that the largest is 100.

Peak list (12 most intense, 2θ from 15° to 90°, by intensity)
(1 3 1), 32.09 deg, I = 100
(0 2 3), 25.26 deg, I = 66
(1 3 2), 34.37 deg, I = 55
(1 1 5), 42.89 deg, I = 52
(0 2 4), 31.42 deg, I = 33
(2 0 0), 46.47 deg, I = 30
(1 5 2), 45.16 deg, I = 23
(1 5 3), 48.03 deg, I = 22
(1 3 0), 31.29 deg, I = 21
(0 6 3), 48.41 deg, I = 19
(1 1 2), 27.68 deg, I = 19
(1 3 5), 47.74 deg, I = 18

Atomic structure:
a b c (Å): 3.9086 12.5742 12.7755
angles (deg): 90.00 90.00 90.00
Space group Cmcm (No. 63)
Inequivalent atoms, fractional coordinates:
Sc (0.0000, 0.0000, 0.0000) [4 per cell]
Sc (0.0000, 0.2689, 0.1246) [8 per cell]
Sc (0.0000, 0.4325, 0.7500) [4 per cell]
Sb (0.0000, 0.1029, 0.7500) [4 per cell]
Se (0.0000, 0.3639, 0.5582) [8 per cell]


Calculated powder diffraction line list of Sc6Sb3TeSe2 for Cu Kα (weighted mean of Kα1 and Kα2), from a cell relaxed with GGA-PBE.
Intensities are scaled so that the largest is 100.

Peak list (12 most intense, 2θ from 15° to 90°, by intensity)
(2 0 -2), 31.07 deg, I = 100
(1 3 -3), 44.49 deg, I = 59
(0 0 2), 26.84 deg, I = 24
(3 3 -5), 73.58 deg, I = 15
(0 0 4), 55.19 deg, I = 12
(2 6 -2), 55.37 deg, I = 12
(0 6 0), 44.66 deg, I = 11
(3 3 1), 52.69 deg, I = 11
(2 0 -6), 81.88 deg, I = 11
(5 3 -3), 73.49 deg, I = 10
(2 0 0), 26.77 deg, I = 9
(2 6 2), 64.83 deg, I = 7

Atomic structure:
a b c (Å): 7.0627 12.1751 7.0575
angles (deg): 90.00 109.45 90.00
Space group C2/m (No. 12)
Inequivalent atoms, fractional coordinates:
Sc (0.2262, 0.0000, 0.2342) [4 per cell]
Sc (0.2420, 0.1752, 0.7523) [8 per cell]
Sb (0.0000, 0.0000, 0.5000) [2 per cell]
Sb (0.0000, 0.3419, 0.5000) [4 per cell]
Te (0.0000, 0.5000, 0.0000) [2 per cell]
Se (0.0000, 0.1692, 0.0000) [4 per cell]


Calculated powder diffraction line list of ScSi2Sb for Cu Kα (weighted mean of Kα1 and Kα2), from a cell relaxed with GGA-PBE.
Intensities are scaled so that the largest is 100.

Peak list (12 most intense, 2θ from 15° to 90°, by intensity)
(1 1 2), 36.77 deg, I = 100
(1 0 1), 23.99 deg, I = 35
(0 0 2), 18.62 deg, I = 32
(2 0 0), 45.03 deg, I = 28
(0 0 4), 37.76 deg, I = 23
(2 0 4), 60.18 deg, I = 23
(3 1 2), 77.62 deg, I = 21
(1 1 0), 31.42 deg, I = 18
(1 1 6), 67.53 deg, I = 16
(1 0 3), 36.01 deg, I = 12
(2 2 4), 78.23 deg, I = 10
(2 0 2), 49.13 deg, I = 10

Atomic structure:
a b c (Å): 4.0265 4.0265 9.5291
angles (deg): 90.00 90.00 90.00
Space group I4/mmm (No. 139)
Inequivalent atoms, fractional coordinates:
Sc (0.0000, 0.0000, 0.0000) [2 per cell]
Si (0.0000, 0.5000, 0.2500) [4 per cell]
Sb (0.0000, 0.0000, 0.5000) [2 per cell]


Calculated powder diffraction line list of Sc4SiSb for Cu Kα (weighted mean of Kα1 and Kα2), from a cell relaxed with GGA-PBE.
Intensities are scaled so that the largest is 100.

Peak list (12 most intense, 2θ from 15° to 90°, by intensity)
(2 0 0), 33.50 deg, I = 100
(1 2 1), 36.65 deg, I = 93
(1 0 -3), 35.83 deg, I = 81
(0 2 2), 37.38 deg, I = 77
(1 2 -1), 35.06 deg, I = 70
(2 0 -1), 33.79 deg, I = 64
(1 1 0), 22.14 deg, I = 60
(1 0 2), 30.01 deg, I = 55
(1 0 3), 40.33 deg, I = 45
(0 2 0), 29.42 deg, I = 43
(1 2 -2), 39.71 deg, I = 41
(0 4 0), 61.04 deg, I = 34

Atomic structure:
a b c (Å): 5.4080 6.0717 7.9692
angles (deg): 90.00 98.25 90.00
Space group P2_1/m (No. 11)
Inequivalent atoms, fractional coordinates:
Sc (0.1524, 0.2500, 0.0474) [2 per cell]
Sc (0.1799, 0.7500, 0.3496) [2 per cell]
Sc (0.3335, 0.5073, 0.7421) [4 per cell]
Si (0.3468, 0.7500, 0.0387) [2 per cell]
Sb (0.2344, 0.2500, 0.4169) [2 per cell]


Calculated powder diffraction line list of Sm3Sc4Sb4 for Cu Kα (weighted mean of Kα1 and Kα2), from a cell relaxed with GGA-PBE.
Intensities are scaled so that the largest is 100.

Peak list (12 most intense, 2θ from 15° to 90°, by intensity)
(1 2 1), 29.67 deg, I = 100
(1 1 4), 32.85 deg, I = 84
(0 1 5), 30.35 deg, I = 30
(1 2 9), 61.48 deg, I = 26
(2 0 0), 42.91 deg, I = 24
(1 5 4), 61.03 deg, I = 23
(0 3 3), 34.66 deg, I = 19
(0 2 0), 19.81 deg, I = 19
(0 4 0), 40.29 deg, I = 18
(1 3 4), 43.82 deg, I = 16
(0 3 5), 41.90 deg, I = 15
(1 3 2), 38.73 deg, I = 14

Atomic structure:
a b c (Å): 4.2155 8.9548 15.5915
angles (deg): 90.00 90.00 90.00
Space group Immm (No. 71)
Inequivalent atoms, fractional coordinates:
Sm (0.0000, 0.0000, 0.0000) [2 per cell]
Sm (0.0000, 0.5000, 0.1126) [4 per cell]
Sc (0.0000, 0.3004, 0.3230) [8 per cell]
Sb (0.0000, 0.0000, 0.2319) [4 per cell]
Sb (0.0000, 0.2135, 0.5000) [4 per cell]


Calculated powder diffraction line list of Sm2ScSb for Cu Kα (weighted mean of Kα1 and Kα2), from a cell relaxed with GGA-PBE.
Intensities are scaled so that the largest is 100.

Peak list (12 most intense, 2θ from 15° to 90°, by intensity)
(1 1 1), 32.64 deg, I = 100
(2 0 0), 37.98 deg, I = 33
(3 1 1), 65.26 deg, I = 26
(2 0 2), 54.54 deg, I = 23
(0 0 2), 37.63 deg, I = 17
(1 1 3), 64.78 deg, I = 13
(3 1 3), 89.86 deg, I = 12
(2 2 2), 68.39 deg, I = 11
(2 2 0), 54.80 deg, I = 11
(0 0 1), 18.56 deg, I = 8
(1 1 0), 26.61 deg, I = 7
(2 0 1), 42.61 deg, I = 5

Atomic structure:
a b c (Å): 4.7379 4.7379 4.7808
angles (deg): 90.00 90.00 90.00
Space group P4/mmm (No. 123)
Inequivalent atoms, fractional coordinates:
Sm (0.0000, 0.5000, 0.0000) [2 per cell]
Sc (0.0000, 0.0000, 0.5000) [1 per cell]
Sb (0.5000, 0.5000, 0.5000) [1 per cell]


Calculated powder diffraction line list of SmSc5Sb4 for Cu Kα (weighted mean of Kα1 and Kα2), from a cell relaxed with GGA-PBE.
Intensities are scaled so that the largest is 100.

Peak list (12 most intense, 2θ from 15° to 90°, by intensity)
(2 0 1), 24.17 deg, I = 100
(3 3 1), 42.04 deg, I = 72
(1 3 0), 28.24 deg, I = 47
(1 3 1), 32.44 deg, I = 42
(1 3 2), 42.87 deg, I = 30
(0 2 2), 36.42 deg, I = 30
(3 1 1), 33.15 deg, I = 29
(0 2 1), 23.69 deg, I = 28
(4 0 0), 37.11 deg, I = 24
(2 0 2), 36.75 deg, I = 23
(0 0 2), 31.58 deg, I = 23
(3 3 3), 63.48 deg, I = 21

Atomic structure:
a b c (Å): 9.6895 10.0274 5.6668
angles (deg): 90.00 90.00 90.00
Space group Cmmm (No. 65)
Inequivalent atoms, fractional coordinates:
Sm (0.0000, 0.0000, 0.0000) [2 per cell]
Sc (0.0000, 0.5000, 0.5000) [2 per cell]
Sc (0.2500, 0.2500, 0.2495) [8 per cell]
Sb (0.0000, 0.3301, 0.0000) [4 per cell]
Sb (0.1903, 0.0000, 0.5000) [4 per cell]


Calculated powder diffraction line list of Sm3Sc2Sb3 for Cu Kα (weighted mean of Kα1 and Kα2), from a cell relaxed with GGA-PBE.
Intensities are scaled so that the largest is 100.

Peak list (12 most intense, 2θ from 15° to 90°, by intensity)
(2 1 1), 33.91 deg, I = 100
(1 1 2), 35.23 deg, I = 33
(0 0 2), 28.77 deg, I = 32
(2 1 3), 54.34 deg, I = 28
(3 0 0), 34.81 deg, I = 21
(1 1 0), 19.89 deg, I = 20
(2 1 0), 30.59 deg, I = 15
(3 1 1), 44.71 deg, I = 12
(3 2 1), 53.75 deg, I = 12
(5 0 2), 67.70 deg, I = 10
(4 0 2), 56.06 deg, I = 9
(2 1 5), 84.89 deg, I = 8

Atomic structure:
a b c (Å): 8.9274 8.9274 6.2056
angles (deg): 90.00 90.00 120.00
Space group P6_3/mcm (No. 193)
Inequivalent atoms, fractional coordinates:
Sm (0.0000, 0.2472, 0.2500) [6 per cell]
Sc (0.3333, 0.6667, 0.0000) [4 per cell]
Sb (0.0000, 0.3965, 0.7500) [6 per cell]